(1)
This entry pairs a crystal structure of EuErCdSi with its computed X-ray powder pattern. Radiation: CuKα. Structure: a cell relaxed with PBE.

Most intense lines, 10° ≤ 2θ ≤ 80°, in order of rising 2θ:
2θ (°)  d_spacing  intensity
20.97  4.237  8
24.26  3.669  17
34.57  2.595  100
40.78  2.213  5
42.68  2.118  5
49.69  1.835  18
56.04  1.641  7
61.95  1.498  36
72.92  1.297  11
78.14  1.223  4

Structure:
Unit cell a=5.1892 b=5.1892 c=5.1892 alpha=60.00 beta=60.00 gamma=60.00
Fractional coordinates of all 4 atoms:
Eu 0.0000 0.0000 0.0000
Er 0.5000 0.5000 0.5000
Cd 0.2500 0.2500 0.2500
Si 0.7500 0.7500 0.7500



(2)
This entry pairs a crystal structure of SnPHS with its computed X-ray powder pattern. Radiation: CuKα. Structure: a cell relaxed with PBE.

Most intense lines, 10° ≤ 2θ ≤ 80°, in order of rising 2θ:
2θ (°)  d_spacing  intensity
19.50  4.553  100
21.87  4.063  76
22.04  4.032  55
29.00  3.079  99
30.44  2.937  49
30.54  2.927  57
30.95  2.889  39
31.09  2.877  69
39.90  2.259  37
41.54  2.174  34

Structure:
Unit cell a=4.1791 b=4.5194 c=5.0641 alpha=64.05 beta=89.47 gamma=88.93
Fractional coordinates of all 4 atoms:
Sn 0.0000 0.0000 0.0000
P 0.4726 0.8635 0.4086
H 0.4626 0.1669 0.4342
S 0.4136 0.5483 0.8619



(3)
This entry pairs a crystal structure of Ti7Sn2BiH2 with its computed X-ray powder pattern. Radiation: CuKα. Structure: a cell relaxed with PBE.

Most intense lines, 10° ≤ 2θ ≤ 80°, in order of rising 2θ:
2θ (°)  d_spacing  intensity
22.39  3.970  47
29.09  3.070  38
31.41  2.848  34
34.96  2.567  47
37.95  2.371  26
38.99  2.310  100
45.02  2.014  47
50.87  1.795  23
60.30  1.535  26
78.99  1.212  25

Structure:
Unit cell a=12.1922 b=12.1922 c=12.1922 alpha=160.99 beta=160.99 gamma=27.01
Fractional coordinates of all 12 atoms:
Ti 0.0000 0.0000 0.0000
Ti 0.0953 0.5953 0.5000
Ti 0.1983 0.1983 0.0000
Ti 0.4047 0.9047 0.5000
Ti 0.5953 0.0953 0.5000
Ti 0.8017 0.8017 0.0000
Ti 0.9047 0.4047 0.5000
Sn 0.3172 0.3172 0.0000
Sn 0.6828 0.6828 0.0000
Bi 0.5000 0.5000 0.0000
H 0.0847 0.0847 0.0000
H 0.9153 0.9153 0.0000



(4)
This entry pairs a crystal structure of Tl4In3Bi4 with its computed X-ray powder pattern. Radiation: CuKα. Structure: a cell relaxed with PBE.

Most intense lines, 10° ≤ 2θ ≤ 80°, in order of rising 2θ:
2θ (°)  d_spacing  intensity
30.67  2.915  27
30.98  2.886  27
31.14  2.872  60
31.42  2.847  89
31.60  2.832  85
32.44  2.760  100
32.63  2.744  22
35.53  2.527  21
47.76  1.904  22
55.52  1.655  17

Structure:
Unit cell a=3.4114 b=5.6965 c=17.8335 alpha=82.48 beta=86.58 gamma=89.61
Fractional coordinates of all 11 atoms:
Tl 0.0487 0.0851 0.3211
Tl 0.1818 0.7169 0.0561
Tl 0.8182 0.2831 0.9439
Tl 0.9513 0.9149 0.6789
In 0.3928 0.3606 0.7748
In 0.5000 0.0000 0.5000
In 0.6072 0.6394 0.2252
Bi 0.3568 0.8209 0.8646
Bi 0.4969 0.4551 0.5947
Bi 0.5031 0.5449 0.4053
Bi 0.6432 0.1791 0.1354